Starting from the GGA+U geometry in the Materials Project, the powder X-ray diffraction pattern of Li9Co7O16 was simulated for Cu Kα.
Kinematic intensities with the Lorentz-polarization factor, no thermal factor.

Peak list (10 most intense, 10° ≤ 2θ ≤ 90°, low angle first)
- (1 0 -2), 2θ = 18.3°, 4.846 Å, I = 1000
- (2 1 0), 2θ = 36.0°, 2.494 Å, I = 281
- (3 0 2), 2θ = 36.7°, 2.447 Å, I = 117
- (4 0 0), 2θ = 37.9°, 2.377 Å, I = 117
- (3 1 -2), 2θ = 43.3°, 2.088 Å, I = 552
- (2 0 4), 2θ = 44.6°, 2.030 Å, I = 246
- (0 1 4), 2θ = 48.1°, 1.893 Å, I = 83
- (4 1 -4), 2θ = 57.0°, 1.615 Å, I = 115
- (0 2 0), 2θ = 63.5°, 1.465 Å, I = 216
- (5 1 2), 2θ = 64.4°, 1.446 Å, I = 137

Cell and atoms:
```
data_Li9Co7O16
_space_group_name_H-M_alt 'P 1 2/m 1'
_space_group_IT_number 10
_cell_length_a 9.747
_cell_length_b 2.927
_cell_length_c 10.162
_cell_angle_alpha 90.00
_cell_angle_beta 102.34
_cell_angle_gamma 90.00
loop_
_space_group_symop_operation_xyz
'x,y,z'
'-x,-y,-z'
'-x,y,-z'
'x,-y,z'
loop_
_atom_site_label
_atom_site_fract_x
_atom_site_fract_y
_atom_site_fract_z
Li1 0.000 0.000 0.000
Li2 0.000 0.000 0.500
Li3 0.249 0.500 0.127
Li4 0.253 0.500 0.621
Li5 0.498 0.000 0.743
Li6 0.500 0.500 0.500
Co1 0.002 0.500 0.246
Co2 0.251 0.000 0.874
Co3 0.256 0.000 0.380
Co4 0.500 0.500 0.000
O1 0.122 0.000 0.695
O2 0.123 0.500 0.929
O3 0.127 0.000 0.200
O4 0.137 0.500 0.425
O5 0.356 0.500 0.322
O6 0.362 0.000 0.547
O7 0.375 0.000 0.052
O8 0.379 0.500 0.825
```